Starting from a structure optimized by DFT (PBE+U), the XRD peak list of Rb2Mn2TlF7 was computed for copper Kα.
No peak broadening, texture or thermal motion is included.

Atomic structure:
```
Rb2Mn2TlF7
1.0
-2.154 2.154 11.340
2.154 -2.154 11.340
2.154 2.154 -11.340
Rb Mn Tl F
2 2 1 7
direct
0.186 0.186 0.000
0.814 0.814 0.000
0.404 0.404 0.000
0.596 0.596 0.000
0.000 0.000 0.000
0.096 0.596 0.500
0.310 0.310 0.000
0.404 0.904 0.500
0.500 0.500 0.000
0.596 0.096 0.500
0.690 0.690 0.000
0.904 0.404 0.500
```

Principal peaks in the range 2θ from 5° to 70°, most intense first:
| 2θ (°) | I (rel.) |
| --- | --- |
| 28.6 | 100 |
| 29.3 | 61 |
| 7.8 | 52 |
| 41.9 | 40 |
| 51.5 | 39 |
| 37.9 | 33 |
| 21.0 | 23 |
| 59.2 | 21 |
| 50.1 | 19 |
| 39.7 | 18 |
| 33.4 | 14 |
| 34.6 | 14 |